1.
Starting from a crystal structure in Alexandria, relaxed with GGA-PBE, the powder diffractogram of Ho10Er4Pu was calculated for Cu Kα.

Top 8 peaks for 2θ = 10–90°, low angle first:
d/Å	two_theta	I_rel
3.152	28.3	397
2.871	31.2	432
2.792	32.1	994
2.745	32.6	1000
2.593	34.6	448
2.167	41.7	449
1.974	46.0	250
1.369	68.5	471

a = 8.7722 Å, b = 8.7722 Å, c = 8.7722 Å
α = 100.92°, β = 100.92°, γ = 128.41°
Atoms (fractional coordinates):
Ho: 0.0048 0.2137 0.7912
Ho: 0.2137 0.0048 0.7912
Ho: 0.2137 0.4225 0.2088
Ho: 0.2500 0.7500 0.5000
Ho: 0.4225 0.2137 0.2088
Ho: 0.5775 0.7863 0.7912
Ho: 0.7500 0.2500 0.5000
Ho: 0.7863 0.5775 0.7912
Ho: 0.7863 0.9952 0.2088
Ho: 0.9952 0.7863 0.2088
Er: 0.2680 0.2680 0.5360
Er: 0.2680 0.7320 0.0000
Er: 0.7320 0.2680 0.0000
Er: 0.7320 0.7320 0.4640
Pu: 0.5000 0.5000 0.0000

2.
Starting from a crystal structure in Alexandria, relaxed with GGA-PBE, the powder diffractogram of Ho3Er6Pu was calculated for Cu Kα.

Top 8 peaks for 2θ = 10–90°, low angle first:
d/Å	two_theta	I_rel
3.004	29.7	342
2.977	30.0	455
2.910	30.7	394
2.830	31.6	1000
2.684	33.4	525
2.666	33.6	158
2.128	42.5	201
1.557	59.4	203

a = 6.7666 Å, b = 6.7666 Å, c = 6.6371 Å
α = 90.02°, β = 90.02°, γ = 95.18°
Atoms (fractional coordinates):
Ho: 0.0000 0.0000 0.0000
Ho: 0.0972 0.3069 0.6671
Ho: 0.6931 0.9028 0.3329
Er: 0.1613 0.8387 0.5000
Er: 0.3248 0.6752 0.0000
Er: 0.3798 0.2233 0.2001
Er: 0.5684 0.1132 0.7549
Er: 0.7767 0.6202 0.7999
Er: 0.8868 0.4316 0.2451
Pu: 0.4688 0.5312 0.5000

3.
Starting from a crystal structure in Alexandria, relaxed with GGA-PBE, the powder diffractogram of Rb4HoEr3Te8 was calculated for Cu Kα.

Top 8 peaks for 2θ = 10–90°, low angle first:
d/Å	two_theta	I_rel
8.546	10.4	312
3.330	26.8	1000
2.669	33.6	152
2.475	36.3	333
2.250	40.1	373
2.000	45.3	101
1.865	48.8	191
1.436	64.9	162

a = 10.0023 Å, b = 10.0023 Å, c = 10.0023 Å
α = 53.48°, β = 53.48°, γ = 53.48°
Atoms (fractional coordinates):
Rb: 0.0000 0.0000 0.0000
Rb: 0.0000 0.5000 0.5000
Rb: 0.5000 0.0000 0.5000
Rb: 0.5000 0.5000 0.0000
Ho: 0.5000 0.5000 0.5000
Er: 0.0000 0.0000 0.5000
Er: 0.0000 0.5000 0.0000
Er: 0.5000 0.0000 0.0000
Te: 0.2319 0.7330 0.7330
Te: 0.2325 0.2325 0.2325
Te: 0.2670 0.2670 0.7681
Te: 0.2670 0.7681 0.2670
Te: 0.7330 0.2319 0.7330
Te: 0.7330 0.7330 0.2319
Te: 0.7675 0.7675 0.7675
Te: 0.7681 0.2670 0.2670